[1]
Diffraction record for Cs2UAs2O9. The XRD peak list is computed, not measured: it uses a cell relaxed with GGA-PBE and Cu Kα X-rays.

Main lines, by angle (10 to 80 degrees two-theta):
2θ = 13.79°, rel. 19
2θ = 19.09°, rel. 18
2θ = 19.30°, rel. 20
2θ = 23.42°, rel. 100
2θ = 25.12°, rel. 53
2θ = 25.44°, rel. 52
2θ = 27.79°, rel. 38
2θ = 29.79°, rel. 33
2θ = 30.20°, rel. 29
2θ = 41.19°, rel. 22
2θ = 41.50°, rel. 22
2θ = 46.61°, rel. 16

Atomic structure:
```
Cs2UAs2O9
1.0
13.1759 0.0000 0.0000
0.0000 13.4731 0.0000
0.0000 0.0000 6.4215
Cs U As O
8 4 8 36
Direct
0.0735 0.2500 0.0094
0.2500 0.5730 0.9872
0.2500 0.9270 0.9872
0.4265 0.2500 0.0094
0.5735 0.7500 0.9906
0.7500 0.0730 0.0128
0.7500 0.4270 0.0128
0.9265 0.7500 0.9906
0.0000 0.0000 0.5000
0.0000 0.5000 0.5000
0.5000 0.0000 0.5000
0.5000 0.5000 0.5000
0.1256 0.7500 0.4860
0.2500 0.1289 0.4935
0.2500 0.3711 0.4935
0.3744 0.7500 0.4860
0.6256 0.2500 0.5140
0.7500 0.6289 0.5065
0.7500 0.8711 0.5065
0.8744 0.2500 0.5140
0.0520 0.5144 0.2383
0.0520 0.9856 0.2383
0.0697 0.6484 0.6040
0.0697 0.8516 0.6040
0.1301 0.7500 0.2271
0.1446 0.0777 0.6125
0.1446 0.4223 0.6125
0.2500 0.1330 0.2346
0.2500 0.2500 0.6159
0.2500 0.3670 0.2346
0.2500 0.7500 0.6083
0.3554 0.0777 0.6125
0.3554 0.4223 0.6125
0.3699 0.7500 0.2271
0.4303 0.6484 0.6040
0.4303 0.8516 0.6040
0.4480 0.5144 0.2383
0.4480 0.9856 0.2383
0.5520 0.0144 0.7617
0.5520 0.4856 0.7617
0.5697 0.1484 0.3960
0.5697 0.3516 0.3960
0.6301 0.2500 0.7729
0.6446 0.5777 0.3875
0.6446 0.9223 0.3875
0.7500 0.2500 0.3917
0.7500 0.6330 0.7654
0.7500 0.7500 0.3841
0.7500 0.8670 0.7654
0.8554 0.5777 0.3875
0.8554 0.9223 0.3875
0.8699 0.2500 0.7729
0.9303 0.1484 0.3960
0.9303 0.3516 0.3960
0.9480 0.0144 0.7617
0.9480 0.4856 0.7617
```



[2]
Diffraction record for Cs3YAs2O8. The XRD peak list is computed, not measured: it uses a cell relaxed with GGA-PBE and Cu Kα X-rays.

Main lines, by angle (10 to 80 degrees two-theta):
2θ = 20.25°, rel. 7
2θ = 26.50°, rel. 100
2θ = 29.51°, rel. 87
2θ = 40.07°, rel. 34
2θ = 50.54°, rel. 32
2θ = 51.46°, rel. 29
2θ = 52.35°, rel. 17
2θ = 61.24°, rel. 14
2θ = 66.40°, rel. 7
2θ = 67.91°, rel. 14
2θ = 68.68°, rel. 12
2θ = 76.47°, rel. 7

Atomic structure:
```
Cs3YAs2O8
1.0
6.0545 0.0000 0.0000
-3.0273 5.2434 0.0000
0.0000 0.0000 8.7700
Cs Y As O
3 1 2 8
Direct
0.0000 0.0000 0.0000
0.3333 0.6667 0.7590
0.6667 0.3333 0.2410
0.0000 0.0000 0.5000
0.3333 0.6667 0.2855
0.6667 0.3333 0.7145
0.1773 0.3545 0.3505
0.1773 0.8227 0.3505
0.3333 0.6667 0.0918
0.3545 0.1773 0.6495
0.6455 0.8227 0.3505
0.6667 0.3333 0.9082
0.8227 0.1773 0.6495
0.8227 0.6455 0.6495
```



[3]
Diffraction record for CsAsP. The XRD peak list is computed, not measured: it uses a cell relaxed with GGA-PBE and Cu Kα X-rays.

Main lines, by angle (10 to 80 degrees two-theta):
2θ = 23.49°, rel. 16
2θ = 28.17°, rel. 100
2θ = 30.95°, rel. 21
2θ = 39.22°, rel. 8
2θ = 41.28°, rel. 28
2θ = 50.72°, rel. 19
2θ = 52.48°, rel. 27
2θ = 53.37°, rel. 16
2θ = 67.38°, rel. 16
2θ = 69.63°, rel. 9
2θ = 75.26°, rel. 5
2θ = 79.53°, rel. 8

Atomic structure:
```
CsAsP
1.0
4.3740 0.0000 0.0000
-2.1870 3.7880 0.0000
0.0000 0.0000 5.7778
Cs As P
1 1 1
Direct
0.0000 0.0000 0.0000
0.3333 0.6667 0.5000
0.6667 0.3333 0.5000
```



[4]
Diffraction record for Cs3Th2PaAs6. The XRD peak list is computed, not measured: it uses a cell relaxed with GGA-PBE and Cu Kα X-rays.

Main lines, by angle (10 to 80 degrees two-theta):
2θ = 10.53°, rel. 33
2θ = 21.15°, rel. 18
2θ = 24.29°, rel. 24
2θ = 27.25°, rel. 100
2θ = 34.19°, rel. 13
2θ = 36.95°, rel. 31
2θ = 40.82°, rel. 38
2θ = 42.96°, rel. 16
2θ = 46.42°, rel. 15
2θ = 49.78°, rel. 19
2θ = 60.80°, rel. 15
2θ = 66.26°, rel. 16

Atomic structure:
```
Cs3Th2PaAs6
1.0
3.8293 -6.6316 0.0000
3.8293 6.6316 0.0000
-2.5543 0.0000 8.4007
Cs Th Pa As
3 2 1 6
Direct
0.0000 0.0000 0.0000
0.3313 0.6687 0.0000
0.6687 0.3313 0.0000
0.1664 0.8336 0.5000
0.8336 0.1664 0.5000
0.5000 0.5000 0.5000
0.1208 0.4422 0.3260
0.2373 0.2373 0.6747
0.4422 0.1208 0.3260
0.5578 0.8792 0.6740
0.7627 0.7627 0.3253
0.8792 0.5578 0.6740
```